Structure and computed powder X-ray diffraction pattern of Ag6ICl8 (a cell relaxed with PBE; Cu Ka).
Kinematic intensities with the Lorentz-polarization factor, no thermal factor.

a = 7.9356 Å, b = 7.3931 Å, c = 14.8140 Å
α = 90.00°, β = 90.00°, γ = 90.00°
Positions (direct):
1 Ag 0.0000 0.0519 0.0000
2 Ag 0.0000 0.4191 0.1975
3 Ag 0.0000 0.5590 0.8147
4 Ag 0.0000 0.7472 0.5362
5 Ag 0.1924 0.7718 0.1359
6 Ag 0.3076 0.2282 0.6359
7 Ag 0.5000 0.2528 0.0362
8 Ag 0.5000 0.4410 0.3147
9 Ag 0.5000 0.5809 0.6975
10 Ag 0.5000 0.9481 0.5000
11 Ag 0.6924 0.2282 0.6359
12 Ag 0.8076 0.7718 0.1359
13 I 0.0000 0.1950 0.7697
14 I 0.5000 0.8050 0.2697
15 Cl 0.0000 0.0023 0.2067
16 Cl 0.0000 0.8670 0.7240
17 Cl 0.2042 0.0010 0.4916
18 Cl 0.2057 0.4606 0.3320
19 Cl 0.2456 0.4553 0.0796
20 Cl 0.2544 0.5447 0.5796
21 Cl 0.2943 0.5394 0.8320
22 Cl 0.2958 0.9990 0.9916
23 Cl 0.5000 0.1330 0.2240
24 Cl 0.5000 0.9977 0.7067
25 Cl 0.7042 0.9990 0.9916
26 Cl 0.7057 0.5394 0.8320
27 Cl 0.7456 0.5447 0.5796
28 Cl 0.7544 0.4553 0.0796
29 Cl 0.7943 0.4606 0.3320
30 Cl 0.7958 0.0010 0.4916

The 6 most intense peaks (5° ≤ 2θ ≤ 70°), in order of falling intensity:
2θ 11.95, d = 7.407 Å, I = 100.0
2θ 40.61, d = 2.222 Å, I = 79.3
2θ 26.19, d = 3.403 Å, I = 77.4
2θ 26.94, d = 3.310 Å, I = 73.2
2θ 42.48, d = 2.128 Å, I = 70.5
2θ 21.19, d = 4.193 Å, I = 70.4

Structure and computed powder X-ray diffraction pattern of Cu2SI2 (a cell relaxed with PBE; Cu Ka).
Kinematic intensities with the Lorentz-polarization factor, no thermal factor.

a = 4.0824 Å, b = 6.1245 Å, c = 6.7926 Å
α = 84.79°, β = 86.30°, γ = 72.37°
Positions (direct):
1 Cu 0.0000 0.0000 0.0000
2 Cu 0.4183 0.9538 0.6166
3 S 0.4592 0.1061 0.8936
4 I 0.3888 0.5920 0.8620
5 I 0.9111 0.0324 0.3851

The 6 most intense peaks (5° ≤ 2θ ≤ 70°), in order of falling intensity:
2θ 15.22, d = 5.820 Å, I = 100.0
2θ 25.99, d = 3.428 Å, I = 72.3
2θ 19.36, d = 4.584 Å, I = 65.5
2θ 30.72, d = 2.910 Å, I = 60.8
2θ 23.41, d = 3.800 Å, I = 56.6
2θ 46.68, d = 1.946 Å, I = 44.0

Structure and computed powder X-ray diffraction pattern of InPt8Rh4 (a cell relaxed with PBE; Cu Ka).
Kinematic intensities with the Lorentz-polarization factor, no thermal factor.

a = 4.8453 Å, b = 4.8453 Å, c = 11.5796 Å
α = 94.20°, β = 94.20°, γ = 48.02°
Positions (direct):
1 In 0.0000 0.0000 0.0000
2 Pt 0.0732 0.0732 0.7665
3 Pt 0.2362 0.2362 0.3120
4 Pt 0.3077 0.3077 0.0801
5 Pt 0.4578 0.4578 0.6121
6 Pt 0.5422 0.5422 0.3879
7 Pt 0.6923 0.6923 0.9199
8 Pt 0.7638 0.7638 0.6880
9 Pt 0.9268 0.9268 0.2335
10 Rh 0.1535 0.1535 0.5360
11 Rh 0.3817 0.3817 0.8397
12 Rh 0.6183 0.6183 0.1603
13 Rh 0.8465 0.8465 0.4640

The 6 most intense peaks (5° ≤ 2θ ≤ 70°), in order of falling intensity:
2θ 39.37, d = 2.288 Å, I = 100.0
2θ 39.50, d = 2.281 Å, I = 99.0
2θ 45.77, d = 1.982 Å, I = 64.9
2θ 66.93, d = 1.398 Å, I = 52.2
2θ 46.04, d = 1.972 Å, I = 32.6
2θ 66.55, d = 1.405 Å, I = 10.6

Structure and computed powder X-ray diffraction pattern of VFe14Os (a cell relaxed with PBE; Cu Ka).
Kinematic intensities with the Lorentz-polarization factor, no thermal factor.

a = 4.9756 Å, b = 4.9756 Å, c = 8.0917 Å
α = 90.00°, β = 90.00°, γ = 109.34°
Positions (direct):
1 V 0.0000 0.0000 0.0000
2 Fe 0.0000 0.0000 0.5000
3 Fe 0.0000 0.5000 0.0000
4 Fe 0.0000 0.5000 0.5000
5 Fe 0.2471 0.2471 0.2538
6 Fe 0.2471 0.2471 0.7462
7 Fe 0.2511 0.7489 0.2516
8 Fe 0.2511 0.7489 0.7484
9 Fe 0.5000 0.0000 0.0000
10 Fe 0.5000 0.0000 0.5000
11 Fe 0.5000 0.5000 0.5000
12 Fe 0.7489 0.2511 0.2516
13 Fe 0.7489 0.2511 0.7484
14 Fe 0.7529 0.7529 0.2538
15 Fe 0.7529 0.7529 0.7462
16 Os 0.5000 0.5000 0.0000

The 6 most intense peaks (5° ≤ 2θ ≤ 70°), in order of falling intensity:
2θ 44.63, d = 2.030 Å, I = 100.0
2θ 44.80, d = 2.023 Å, I = 19.7
2θ 65.10, d = 1.433 Å, I = 11.9
2θ 21.90, d = 4.059 Å, I = 11.5
2θ 10.93, d = 8.092 Å, I = 6.3
2θ 64.81, d = 1.439 Å, I = 6.1

Structure and computed powder X-ray diffraction pattern of LaP2Pd4 (a cell relaxed with PBE; Cu Ka).
Kinematic intensities with the Lorentz-polarization factor, no thermal factor.

a = 7.8112 Å, b = 7.8112 Å, c = 3.8859 Å
α = 90.00°, β = 90.00°, γ = 90.00°
Positions (direct):
1 La 0.0000 0.0000 0.0000
2 La 0.5000 0.5000 0.5000
3 P 0.2207 0.2207 0.5000
4 P 0.2793 0.7207 0.0000
5 P 0.7207 0.2793 0.0000
6 P 0.7793 0.7793 0.5000
7 Pd 0.0894 0.6639 0.5000
8 Pd 0.1639 0.4106 0.0000
9 Pd 0.3361 0.9106 0.5000
10 Pd 0.4106 0.1639 0.0000
11 Pd 0.5894 0.8361 0.0000
12 Pd 0.6639 0.0894 0.5000
13 Pd 0.8361 0.5894 0.0000
14 Pd 0.9106 0.3361 0.5000

The 6 most intense peaks (5° ≤ 2θ ≤ 70°), in order of falling intensity:
2θ 34.53, d = 2.598 Å, I = 100.0
2θ 36.37, d = 2.470 Å, I = 58.3
2θ 40.05, d = 2.251 Å, I = 51.7
2θ 43.41, d = 2.085 Å, I = 38.1
2θ 64.25, d = 1.450 Å, I = 37.5
2θ 46.75, d = 1.943 Å, I = 26.3

Structure and computed powder X-ray diffraction pattern of SmTh2H8 (a cell relaxed with PBE; Cu Ka).
Kinematic intensities with the Lorentz-polarization factor, no thermal factor.

a = 6.4809 Å, b = 6.4809 Å, c = 6.4809 Å
α = 147.57°, β = 125.01°, γ = 65.31°
Positions (direct):
1 Sm 0.0000 0.0000 0.0000
2 Th 0.3310 0.3310 0.0000
3 Th 0.6690 0.6690 0.0000
4 H 0.0885 0.8366 0.2519
5 H 0.1704 0.6704 0.5000
6 H 0.2583 0.5000 0.7583
7 H 0.4153 0.1634 0.2519
8 H 0.5847 0.8366 0.7481
9 H 0.7417 0.5000 0.2417
10 H 0.8296 0.3296 0.5000
11 H 0.9115 0.1634 0.7481

The 6 most intense peaks (5° ≤ 2θ ≤ 70°), in order of falling intensity:
2θ 28.72, d = 3.108 Å, I = 100.0
2θ 28.83, d = 3.097 Å, I = 99.3
2θ 34.97, d = 2.566 Å, I = 59.6
2θ 46.63, d = 1.948 Å, I = 56.6
2θ 29.86, d = 2.992 Å, I = 44.9
2θ 52.34, d = 1.748 Å, I = 39.2

Structure and computed powder X-ray diffraction pattern of Er2Al5Ag4 (a cell relaxed with PBE; Cu Ka).
Kinematic intensities with the Lorentz-polarization factor, no thermal factor.

a = 10.0020 Å, b = 9.3046 Å, c = 5.3077 Å
α = 81.44°, β = 66.91°, γ = 31.65°
Positions (direct):
1 Er 0.1011 0.1011 0.8989
2 Er 0.8989 0.8989 0.1011
3 Al 0.0000 0.0000 0.5000
4 Al 0.2500 0.2500 0.2500
5 Al 0.5000 0.5000 0.0000
6 Al 0.5000 0.5000 0.5000
7 Al 0.7500 0.7500 0.7500
8 Ag 0.2056 0.5319 0.4681
9 Ag 0.4681 0.7944 0.2056
10 Ag 0.5319 0.2056 0.7944
11 Ag 0.7944 0.4681 0.5319

The 6 most intense peaks (5° ≤ 2θ ≤ 70°), in order of falling intensity:
2θ 19.95, d = 4.450 Å, I = 100.0
2θ 34.17, d = 2.624 Å, I = 92.5
2θ 38.89, d = 2.316 Å, I = 69.5
2θ 42.49, d = 2.127 Å, I = 62.4
2θ 37.12, d = 2.422 Å, I = 59.3
2θ 33.03, d = 2.712 Å, I = 41.9

Structure and computed powder X-ray diffraction pattern of Tb4TmLu (a cell relaxed with PBE; Cu Ka).
Kinematic intensities with the Lorentz-polarization factor, no thermal factor.

a = 6.5059 Å, b = 6.5059 Å, c = 6.5059 Å
α = 60.00°, β = 60.00°, γ = 60.00°
Positions (direct):
1 Tb 0.1250 0.1250 0.1250
2 Tb 0.1250 0.1250 0.6250
3 Tb 0.1250 0.6250 0.1250
4 Tb 0.6250 0.1250 0.1250
5 Tm 0.7500 0.7500 0.7500
6 Lu 0.5000 0.5000 0.5000

The 6 most intense peaks (5° ≤ 2θ ≤ 70°), in order of falling intensity:
2θ 32.27, d = 2.774 Å, I = 100.0
2θ 33.75, d = 2.656 Å, I = 38.0
2θ 51.62, d = 1.771 Å, I = 35.8
2θ 56.59, d = 1.626 Å, I = 31.1
2θ 27.42, d = 3.253 Å, I = 28.6
2θ 67.53, d = 1.387 Å, I = 15.3

Structure and computed powder X-ray diffraction pattern of Li2CeUN4 (a cell relaxed with PBE; Cu Ka).
Kinematic intensities with the Lorentz-polarization factor, no thermal factor.

a = 5.3687 Å, b = 3.5347 Å, c = 6.0981 Å
α = 90.00°, β = 112.27°, γ = 90.00°
Positions (direct):
1 Li 0.0000 0.0000 0.0000
2 Li 0.0000 0.5000 0.5000
3 Ce 0.5000 0.0000 0.5000
4 U 0.5000 0.5000 0.0000
5 N 0.2864 0.0000 0.7783
6 N 0.2966 0.5000 0.2370
7 N 0.7034 0.5000 0.7630
8 N 0.7136 0.0000 0.2217

The 6 most intense peaks (5° ≤ 2θ ≤ 70°), in order of falling intensity:
2θ 17.85, d = 4.968 Å, I = 100.0
2θ 29.85, d = 2.993 Å, I = 78.1
2θ 38.09, d = 2.362 Å, I = 60.1
2θ 31.65, d = 2.827 Å, I = 56.5
2θ 42.36, d = 2.134 Å, I = 28.0
2θ 55.32, d = 1.661 Å, I = 20.5

Structure and computed powder X-ray diffraction pattern of MnHg3S4 (a cell relaxed with PBE; Cu Ka).
Kinematic intensities with the Lorentz-polarization factor, no thermal factor.

a = 13.7975 Å, b = 13.7975 Å, c = 13.7975 Å
α = 17.40°, β = 17.40°, γ = 17.40°
Positions (direct):
1 Mn 0.0000 0.0000 0.0000
2 Hg 0.2541 0.2541 0.2541
3 Hg 0.5011 0.5011 0.5011
4 Hg 0.7486 0.7486 0.7486
5 S 0.0585 0.0585 0.0585
6 S 0.3180 0.3180 0.3180
7 S 0.5645 0.5645 0.5645
8 S 0.8116 0.8116 0.8116

The 6 most intense peaks (5° ≤ 2θ ≤ 70°), in order of falling intensity:
2θ 26.18, d = 3.404 Å, I = 100.0
2θ 51.37, d = 1.779 Å, I = 35.4
2θ 30.32, d = 2.948 Å, I = 31.4
2θ 43.35, d = 2.087 Å, I = 27.2
2θ 43.46, d = 2.082 Å, I = 25.5
2θ 6.51, d = 13.585 Å, I = 14.3

Structure and computed powder X-ray diffraction pattern of CaV2Co2 (a cell relaxed with PBE; Cu Ka).
Kinematic intensities with the Lorentz-polarization factor, no thermal factor.

a = 5.6217 Å, b = 5.6217 Å, c = 5.6217 Å
α = 137.72°, β = 137.72°, γ = 61.33°
Positions (direct):
1 Ca 0.0000 0.0000 0.0000
2 V 0.2500 0.7500 0.5000
3 V 0.7500 0.2500 0.5000
4 Co 0.3723 0.3723 0.0000
5 Co 0.6277 0.6277 0.0000

The 6 most intense peaks (5° ≤ 2θ ≤ 70°), in order of falling intensity:
2θ 35.58, d = 2.523 Å, I = 100.0
2θ 44.70, d = 2.027 Å, I = 98.9
2θ 36.43, d = 2.466 Å, I = 98.4
2θ 49.30, d = 1.848 Å, I = 68.2
2θ 58.39, d = 1.580 Å, I = 42.5
2θ 18.35, d = 4.836 Å, I = 30.6

Structure and computed powder X-ray diffraction pattern of PbSeS2 (a cell relaxed with PBE; Cu Ka).
Kinematic intensities with the Lorentz-polarization factor, no thermal factor.

a = 8.2377 Å, b = 7.5812 Å, c = 8.1972 Å
α = 90.00°, β = 119.39°, γ = 90.00°
Positions (direct):
1 Pb 0.2412 0.0980 0.4616
2 Pb 0.2412 0.4019 0.9616
3 Pb 0.7588 0.5980 0.0384
4 Pb 0.7588 0.9020 0.5384
5 Se 0.2628 0.5974 0.5676
6 Se 0.2628 0.9026 0.0676
7 Se 0.7372 0.0974 0.9324
8 Se 0.7372 0.4026 0.4324
9 S 0.0089 0.7323 0.9016
10 S 0.0089 0.7677 0.4016
11 S 0.4990 0.2103 0.3197
12 S 0.4990 0.2897 0.8197
13 S 0.5010 0.7103 0.1803
14 S 0.5010 0.7897 0.6803
15 S 0.9911 0.2323 0.5984
16 S 0.9911 0.2677 0.0984

The 6 most intense peaks (5° ≤ 2θ ≤ 70°), in order of falling intensity:
2θ 26.66, d = 3.343 Å, I = 100.0
2θ 17.04, d = 5.202 Å, I = 78.2
2θ 31.99, d = 2.798 Å, I = 77.8
2θ 25.10, d = 3.547 Å, I = 70.5
2θ 24.93, d = 3.571 Å, I = 50.0
2θ 24.81, d = 3.589 Å, I = 45.8

Structure and computed powder X-ray diffraction pattern of TlGe2Te4 (a cell relaxed with PBE; Cu Ka).
Kinematic intensities with the Lorentz-polarization factor, no thermal factor.

a = 8.7668 Å, b = 8.7556 Å, c = 8.7387 Å
α = 60.15°, β = 60.02°, γ = 59.83°
Positions (direct):
1 Tl 0.1250 0.1250 0.1250
2 Tl 0.8750 0.8750 0.8750
3 Ge 0.0000 0.5000 0.5000
4 Ge 0.5000 0.0000 0.5000
5 Ge 0.5000 0.5000 0.0000
6 Ge 0.5000 0.5000 0.5000
7 Te 0.2607 0.7147 0.2630
8 Te 0.2615 0.2630 0.7147
9 Te 0.2630 0.2615 0.2607
10 Te 0.2853 0.7393 0.7385
11 Te 0.7147 0.2607 0.2615
12 Te 0.7370 0.7385 0.7393
13 Te 0.7385 0.7370 0.2853
14 Te 0.7393 0.2853 0.7370

The 6 most intense peaks (5° ≤ 2θ ≤ 70°), in order of falling intensity:
2θ 41.22, d = 2.190 Å, I = 100.0
2θ 24.92, d = 3.574 Å, I = 64.1
2θ 20.29, d = 4.377 Å, I = 62.8
2θ 41.33, d = 2.185 Å, I = 50.0
2θ 23.81, d = 3.737 Å, I = 49.9
2θ 28.90, d = 3.090 Å, I = 37.3